[1]
The following is a simulated powder diffraction line list of Li3PWCO7. It was derived from a DFT-relaxed cell (PBE+U, the Materials Project), using Cu Kα (weighted mean of Kα1 and Kα2).
Peak positions follow from Bragg's law for the DFT cell and can differ from measured ones.

Main lines, in order of rising 2θ (10° ≤ 2θ ≤ 90°):
hkl 0 1 1, 2θ 16.40, I 100; hkl 1 0 1, 2θ 20.80, I 99; hkl 1 1 0, 2θ 21.98, I 45; hkl 1 0 -2, 2θ 24.69, I 66; hkl 0 2 0, 2θ 26.73, I 83; hkl 1 1 2, 2θ 30.57, I 45

Cell: 5.1124 6.6712 9.2790 Å, 90.00 95.95 90.00°
Space group P2_1/m (No. 11)
Inequivalent atoms, fractional coordinates:
Li 0.1752 0.2500 0.1138
Li 0.3182 0.5373 0.7432
P 0.2305 0.2500 0.3906
W 0.1539 0.7500 0.3244
C 0.3407 0.7500 0.0403
O 0.0904 0.7500 0.0342
O 0.0936 0.0701 0.3023
O 0.1838 0.2500 0.5516
O 0.4618 0.7500 0.9246
O 0.4743 0.7500 0.6269
O 0.4746 0.7500 0.1720

[2]
The following is a simulated powder diffraction line list of LiVCSO7. It was derived from a DFT-relaxed cell (PBE+U, the Materials Project), using Cu Kα (weighted mean of Kα1 and Kα2).
Peak positions follow from Bragg's law for the DFT cell and can differ from measured ones.

Main lines, in order of rising 2θ (10° ≤ 2θ ≤ 90°):
hkl 0 1 1, 2θ 16.60, I 96; hkl 1 0 -1, 2θ 18.79, I 88; hkl 1 0 1, 2θ 19.58, I 95; hkl 1 1 1, 2θ 24.03, I 41; hkl 1 0 -2, 2θ 24.44, I 63; hkl 0 2 0, 2θ 27.78, I 100

Cell: 5.2836 6.4230 9.6209 Å, 90.00 92.78 90.00°
Space group P2_1 (No. 4)
Inequivalent atoms, fractional coordinates:
Li 0.2416 0.0000 0.1110
V 0.2807 0.6426 0.6543
C 0.2337 0.6791 0.9054
S 0.2277 0.1435 0.5716
O 0.0435 0.6422 0.8115
O 0.0443 0.6480 0.4745
O 0.2013 0.7332 0.0272
O 0.2808 0.9594 0.6611
O 0.2875 0.3273 0.6614
O 0.3853 0.1421 0.4480
O 0.4555 0.6565 0.8487

[3]
The following is a simulated powder diffraction line list of Li2VSiCO7. It was derived from a DFT-relaxed cell (PBE+U, the Materials Project), using Cu Kα (weighted mean of Kα1 and Kα2).
Peak positions follow from Bragg's law for the DFT cell and can differ from measured ones.

Main lines, in order of rising 2θ (10° ≤ 2θ ≤ 90°):
hkl 0 0 1, 2θ 10.38, I 100; hkl 0 1 1, 2θ 17.45, I 55; hkl 1 0 1, 2θ 20.81, I 32; hkl 1 1 1, 2θ 25.17, I 32; hkl 1 0 -2, 2θ 26.45, I 39; hkl 0 2 0, 2θ 28.20, I 67

Cell: 5.1114 6.3288 8.5382 Å, 90.00 93.39 90.00°
Space group P2_1/m (No. 11)
Inequivalent atoms, fractional coordinates:
Li 0.2392 0.0104 0.2773
V 0.1958 0.7500 0.8424
Si 0.2954 0.2500 0.9259
C 0.2682 0.7500 0.5541
O 0.0366 0.7500 0.6145
O 0.1663 0.2500 0.0976
O 0.1946 0.0424 0.8246
O 0.2972 0.7500 0.4083
O 0.3836 0.7500 0.0486
O 0.4666 0.7500 0.6608

[4]
The following is a simulated powder diffraction line list of Li3VSiCO7. It was derived from a DFT-relaxed cell (PBE+U, the Materials Project), using Cu Kα (weighted mean of Kα1 and Kα2).
Peak positions follow from Bragg's law for the DFT cell and can differ from measured ones.

Main lines, in order of rising 2θ (10° ≤ 2θ ≤ 90°):
hkl 0 0 1, 2θ 10.57, I 64; hkl 1 0 -1, 2θ 19.78, I 35; hkl 1 0 1, 2θ 21.32, I 50; hkl 1 1 1, 2θ 25.40, I 35; hkl 0 2 0, 2θ 27.50, I 100; hkl 2 0 -1, 2θ 36.35, I 28

Cell: 5.0605 6.4868 8.3957 Å, 90.00 94.79 90.00°
Space group P2_1/m (No. 11)
Inequivalent atoms, fractional coordinates:
Li 0.2253 0.2500 0.1087
Li 0.2440 0.5364 0.7081
V 0.1933 0.7500 0.3198
Si 0.2859 0.2500 0.4205
C 0.2998 0.7500 0.0297
O 0.0541 0.7500 0.0650
O 0.1629 0.2500 0.5947
O 0.1794 0.0559 0.3047
O 0.3664 0.7500 0.8852
O 0.3877 0.7500 0.5506
O 0.4798 0.7500 0.1511

[5]
The following is a simulated powder diffraction line list of Li2VSiCO7. It was derived from a DFT-relaxed cell (PBE+U, the Materials Project), using Cu Kα (weighted mean of Kα1 and Kα2).
Peak positions follow from Bragg's law for the DFT cell and can differ from measured ones.

Main lines, in order of rising 2θ (10° ≤ 2θ ≤ 90°):
hkl 0 0 1, 2θ 10.72, I 72; hkl 0 1 1, 2θ 17.54, I 47; hkl 1 0 -1, 2θ 19.38, I 48; hkl 1 0 1, 2θ 21.36, I 83; hkl 0 2 0, 2θ 27.88, I 100; hkl 2 0 -1, 2θ 35.53, I 41

Cell: 5.1564 6.3997 8.3019 Å, 90.00 96.13 90.00°
Space group P2_1 (No. 4)
Inequivalent atoms, fractional coordinates:
Li 0.2079 0.0000 0.1023
Li 0.2592 0.6990 0.7195
V 0.1883 0.5043 0.3257
Si 0.2742 0.9978 0.4219
C 0.3251 0.4992 0.0466
O 0.0777 0.5144 0.0728
O 0.1232 0.9753 0.5852
O 0.1616 0.1904 0.3042
O 0.2088 0.7977 0.2995
O 0.4057 0.5237 0.9096
O 0.4115 0.5284 0.5261
O 0.4814 0.4632 0.1790

Copy entry 4 word for word.
The following is a simulated powder diffraction line list of Li3VSiCO7. It was derived from a DFT-relaxed cell (PBE+U, the Materials Project), using Cu Kα (weighted mean of Kα1 and Kα2).
Peak positions follow from Bragg's law for the DFT cell and can differ from measured ones.

Main lines, in order of rising 2θ (10° ≤ 2θ ≤ 90°):
hkl 0 0 1, 2θ 10.57, I 64; hkl 1 0 -1, 2θ 19.78, I 35; hkl 1 0 1, 2θ 21.32, I 50; hkl 1 1 1, 2θ 25.40, I 35; hkl 0 2 0, 2θ 27.50, I 100; hkl 2 0 -1, 2θ 36.35, I 28

Cell: 5.0605 6.4868 8.3957 Å, 90.00 94.79 90.00°
Space group P2_1/m (No. 11)
Inequivalent atoms, fractional coordinates:
Li 0.2253 0.2500 0.1087
Li 0.2440 0.5364 0.7081
V 0.1933 0.7500 0.3198
Si 0.2859 0.2500 0.4205
C 0.2998 0.7500 0.0297
O 0.0541 0.7500 0.0650
O 0.1629 0.2500 0.5947
O 0.1794 0.0559 0.3047
O 0.3664 0.7500 0.8852
O 0.3877 0.7500 0.5506
O 0.4798 0.7500 0.1511